Diffraction record for Tm2ClO3. The powder X-ray diffraction pattern is theoretical, not measured: it uses the GGA-PBE geometry in Alexandria and Cu Kα (λ = 1.5418 Å).
Kinematic intensities with the Lorentz-polarization factor, no thermal factor.

Most intense lines, 2θ from 10° to 80°, sorted by position:
| two_theta | d/Å | I_rel |
| --- | --- | --- |
| 13.8 | 6.416 | 32.5 |
| 19.5 | 4.549 | 27.9 |
| 26.2 | 3.396 | 53.4 |
| 26.5 | 3.363 | 39.1 |
| 27.5 | 3.241 | 42.7 |
| 27.8 | 3.208 | 29.1 |
| 31.1 | 2.873 | 100.0 |
| 32.1 | 2.790 | 27.3 |
| 34.9 | 2.573 | 44.2 |
| 56.0 | 1.642 | 30.9 |

Cell and atoms:
```
data_Tm2ClO3
_chemical_formula_sum 'Tm8 Cl4 O12'
_symmetry_space_group_name_H-M 'C 1 2/m 1'
_symmetry_Int_Tables_number 12
_cell_length_a 13.1120
_cell_length_b 3.6817
_cell_length_c 9.2961
_cell_angle_alpha 90.00
_cell_angle_beta 101.85
_cell_angle_gamma 90.00
loop_
_symmetry_equiv_pos_as_xyz
'x,y,z'
'-x,-y,-z'
'-x,y,-z'
'x,-y,z'
'x+1/2,y+1/2,z'
'-x+1/2,-y+1/2,-z'
'-x+1/2,y+1/2,-z'
'x+1/2,-y+1/2,z'
loop_
_atom_site_label
_atom_site_type_symbol
_atom_site_fract_x
_atom_site_fract_y
_atom_site_fract_z
Tm1 Tm 0.0682 0.0000 0.2783
Tm2 Tm 0.1270 0.5000 0.6232
Cl1 Cl 0.1386 0.5000 0.1073
O1 O 0.0526 0.5000 0.3931
O2 O 0.0947 0.0000 0.7225
O3 O 0.2274 0.0000 0.4764
```

***

Diffraction record for UCl2O2. The powder X-ray diffraction pattern is theoretical, not measured: it uses the GGA-PBE geometry in Alexandria and Cu Kα (λ = 1.5418 Å).
Kinematic intensities with the Lorentz-polarization factor, no thermal factor.

Most intense lines, 2θ from 10° to 80°, sorted by position:
| two_theta | d/Å | I_rel |
| --- | --- | --- |
| 14.4 | 6.137 | 34.3 |
| 17.9 | 4.958 | 100.0 |
| 21.1 | 4.207 | 34.5 |
| 27.1 | 3.296 | 45.9 |
| 27.8 | 3.208 | 42.3 |
| 31.7 | 2.820 | 26.9 |
| 40.9 | 2.208 | 25.9 |
| 44.3 | 2.046 | 28.2 |
| 44.5 | 2.038 | 27.7 |
| 48.2 | 1.886 | 22.6 |

Cell and atoms:
```
data_UCl2O2
_chemical_formula_sum 'U4 Cl8 O8'
_symmetry_space_group_name_H-M 'P n m a'
_symmetry_Int_Tables_number 62
_cell_length_a 5.9494
_cell_length_b 8.4137
_cell_length_c 8.9726
_cell_angle_alpha 90.00
_cell_angle_beta 90.00
_cell_angle_gamma 90.00
loop_
_symmetry_equiv_pos_as_xyz
'x,y,z'
'-x,-y,-z'
'-x+1/2,-y,z+1/2'
'x+1/2,y,-z+1/2'
'x+1/2,-y+1/2,-z+1/2'
'-x+1/2,y+1/2,z+1/2'
'-x,y+1/2,-z'
'x,-y+1/2,z'
loop_
_atom_site_label
_atom_site_type_symbol
_atom_site_fract_x
_atom_site_fract_y
_atom_site_fract_z
U1 U 0.0684 0.2500 0.0763
Cl1 Cl 0.1647 0.5621 0.1273
O1 O 0.1691 0.7500 0.7889
O2 O 0.1952 0.7500 0.4550
```

***

Diffraction record for U2Cl4O3. The powder X-ray diffraction pattern is theoretical, not measured: it uses the GGA-PBE geometry in Alexandria and Cu Kα (λ = 1.5418 Å).
Kinematic intensities with the Lorentz-polarization factor, no thermal factor.

Most intense lines, 2θ from 10° to 80°, sorted by position:
| two_theta | d/Å | I_rel |
| --- | --- | --- |
| 10.7 | 8.299 | 100.0 |
| 13.9 | 6.366 | 20.0 |
| 17.9 | 4.945 | 27.9 |
| 21.8 | 4.078 | 21.3 |
| 22.1 | 4.015 | 70.8 |
| 23.8 | 3.744 | 12.2 |
| 24.1 | 3.700 | 33.9 |
| 31.6 | 2.833 | 22.7 |
| 31.9 | 2.806 | 18.3 |
| 33.9 | 2.643 | 15.9 |

Cell and atoms:
```
data_U2Cl4O3
_chemical_formula_sum 'U2 Cl4 O3'
_symmetry_space_group_name_H-M 'P -1'
_symmetry_Int_Tables_number 2
_cell_length_a 4.1379
_cell_length_b 7.6404
_cell_length_c 8.8067
_cell_angle_alpha 75.98
_cell_angle_beta 76.64
_cell_angle_gamma 90.00
loop_
_symmetry_equiv_pos_as_xyz
'x,y,z'
'-x,-y,-z'
loop_
_atom_site_label
_atom_site_type_symbol
_atom_site_fract_x
_atom_site_fract_y
_atom_site_fract_z
U1 U 0.0515 0.2753 0.3952
Cl1 Cl 0.0943 0.6467 0.3081
Cl2 Cl 0.1912 0.2451 0.1110
O1 O 0.0000 0.0000 0.5000
O2 O 0.4513 0.7167 0.5990
```

***

Diffraction record for U2Cl5O2. The powder X-ray diffraction pattern is theoretical, not measured: it uses the GGA-PBE geometry in Alexandria and Cu Kα (λ = 1.5418 Å).
Kinematic intensities with the Lorentz-polarization factor, no thermal factor.

Most intense lines, 2θ from 10° to 80°, sorted by position:
| two_theta | d/Å | I_rel |
| --- | --- | --- |
| 12.2 | 7.235 | 35.0 |
| 12.8 | 6.927 | 100.0 |
| 20.9 | 4.242 | 38.6 |
| 21.5 | 4.130 | 78.0 |
| 21.9 | 4.056 | 37.7 |
| 24.6 | 3.617 | 34.4 |
| 25.1 | 3.548 | 30.9 |
| 34.0 | 2.634 | 39.3 |
| 40.6 | 2.221 | 37.4 |
| 43.5 | 2.083 | 24.2 |

Cell and atoms:
```
data_U2Cl5O2
_chemical_formula_sum 'U4 Cl10 O4'
_symmetry_space_group_name_H-M 'C m m m'
_symmetry_Int_Tables_number 65
_symmetry_space_group_name_Hall '-C 2 2'
_cell_length_a 8.4832
_cell_length_b 13.8536
_cell_length_c 4.1303
_cell_angle_alpha 90.00
_cell_angle_beta 90.00
_cell_angle_gamma 90.00
loop_
_atom_site_label
_atom_site_type_symbol
_atom_site_fract_x
_atom_site_fract_y
_atom_site_fract_z
U1 U 0.0000 0.1998 0.0000
Cl1 Cl 0.0000 0.0000 0.0000
Cl2 Cl 0.1887 0.3602 0.0000
O1 O 0.0000 0.1998 0.5000
```